No. 1
Structure and theoretical XRD peak list of CeCuAgF6 (DFT lattice parameters and positions (PBE); copper Kα).
Peak positions follow from Bragg's law for the DFT cell and can differ from measured ones.

Top 6 peaks for 15 to 90 degrees two-theta, by angle:
24.95°, intensity 100.0, hkl 1 0 2
30.64°, intensity 42.4, hkl 1 1 0
39.91°, intensity 27.6, hkl 2 0 2
47.68°, intensity 49.4, hkl 1 1 4
51.14°, intensity 27.0, hkl 2 1 2
54.47°, intensity 20.6, hkl 3 0 0

Atomic structure:
Cell: 5.8358 5.8358 10.0797 Å, 90.00 90.00 120.00°
Space group P-31c (No. 163)
Symmetry-distinct sites (fractional):
Ce: 0.3333 0.6667 0.2500
Cu: 0.3333 0.6667 0.7500
Ag: 0.0000 0.0000 0.0000
F: 0.0089 0.3608 0.6364

No. 2
Structure and theoretical XRD peak list of La6Zn3In (DFT lattice parameters and positions (PBE); copper Kα).
Peak positions follow from Bragg's law for the DFT cell and can differ from measured ones.

Top 6 peaks for 15 to 90 degrees two-theta, by angle:
32.25°, intensity 44.0, hkl 2 0 -4
32.48°, intensity 92.8, hkl 3 1 -1
32.65°, intensity 100.0, hkl 1 1 3
33.83°, intensity 54.7, hkl 0 2 0
47.44°, intensity 29.7, hkl 2 2 -4
59.78°, intensity 17.3, hkl 1 3 3

Atomic structure:
Cell: 9.682 5.300 11.755 Å, 90.00 105.80 90.00°
Space group P2_1/m (No. 11)
Symmetry-distinct sites (fractional):
La: 0.029 0.250 0.413
La: 0.142 0.750 0.185
La: 0.220 0.250 0.991
La: 0.326 0.750 0.803
La: 0.383 0.250 0.345
La: 0.399 0.250 0.614
Zn: 0.033 0.750 0.875
Zn: 0.121 0.250 0.710
Zn: 0.269 0.750 0.474
In: 0.450 0.750 0.101